Structure and calculated PXRD pattern of Li2VCrO4 (a crystal structure in Alexandria, relaxed with PBE+U; a wavelength of 1.5418 Å).
Neutral-atom scattering factors, no anomalous dispersion.

Most intense lines, 2θ = 10–90°, low angle first:
two_theta	I (rel.)
18.2	100.0
35.1	13.6
35.2	13.6
42.6	29.0
42.9	28.5
43.0	28.1
62.2	22.8
62.4	15.2

Crystal structure
abc: 5.163 5.997 7.872
angles: 79.26 77.22 73.37
Atoms (fractional coordinates):
Li (0.000, 0.000, 0.000)
Li (0.000, 0.500, 0.000)
Li (0.003, 0.160, 0.337)
Li (0.003, 0.325, 0.669)
Li (0.997, 0.675, 0.331)
Li (0.997, 0.840, 0.663)
V (0.500, 0.335, 0.167)
V (0.500, 0.500, 0.500)
V (0.500, 0.665, 0.833)
Cr (0.499, 0.836, 0.167)
Cr (0.500, 0.000, 0.500)
Cr (0.501, 0.164, 0.833)
O (0.272, 0.664, 0.082)
O (0.272, 0.834, 0.413)
O (0.273, 0.489, 0.748)
O (0.274, 0.159, 0.080)
O (0.274, 0.326, 0.416)
O (0.275, 0.994, 0.747)
O (0.725, 0.006, 0.253)
O (0.726, 0.674, 0.584)
O (0.726, 0.841, 0.920)
O (0.727, 0.511, 0.252)
O (0.728, 0.166, 0.587)
O (0.728, 0.336, 0.918)